Starting from a DFT-relaxed cell (GGA-PBE, Alexandria), the X-ray diffraction stick pattern of Rb10I4O3 was simulated for Cu Ka.

Peak list (8 most intense, 5 to 70 degrees two-theta, by angle)
index	2theta	d (Å)	Rel. int.
1 1 6	25.78	3.456	33
1 1 8	28.25	3.159	100
0 0 14	30.39	2.941	23
2 0 0	31.63	2.829	60
2 0 14	44.43	2.039	31
2 2 0	45.34	2.000	22
1 1 22	54.09	1.695	22
3 1 8	54.28	1.690	32

Unit cell a=5.6577 b=5.6577 c=41.1801 alpha=90.00 beta=90.00 gamma=90.00
Space group I4/mmm (No. 139)
Inequivalent atoms, fractional coordinates:
Rb  0.0000  0.0000  0.0691
Rb  0.0000  0.0000  0.2044
Rb  0.0000  0.5000  0.0000
Rb  0.0000  0.5000  0.1376
I  0.0000  0.0000  0.2980
I  0.0000  0.0000  0.4316
O  0.0000  0.0000  0.0000
O  0.0000  0.0000  0.1388